Diffraction record for Ho3Co7Ge2. The X-ray diffraction stick pattern is simulated, not measured: it uses a cell relaxed with PBE and a wavelength of 1.5418 Å.

Most intense lines, 15 to 90 degrees two-theta, by angle:
2theta  Rel. int.
33.94  423
34.65  615
37.29  292
40.43  372
42.19  1000
45.03  125
61.65  148
62.11  115
63.85  123
67.29  242
71.84  164
73.12  228

Atomic structure:
```
data_Ho3Co7Ge2
_chemical_formula_sum 'Ho9 Co21 Ge6'
_symmetry_space_group_name_H-M 'R -3 m'
_symmetry_Int_Tables_number 166
_symmetry_space_group_name_Hall '-R 3 2"'
_cell_length_a 5.1771
_cell_length_b 5.1771
_cell_length_c 22.8827
_cell_angle_alpha 90.00
_cell_angle_beta 90.00
_cell_angle_gamma 120.00
loop_
_atom_site_label
_atom_site_type_symbol
_atom_site_fract_x
_atom_site_fract_y
_atom_site_fract_z
Ho1 Ho 0.0000 0.0000 0.0000
Ho2 Ho 0.0000 0.0000 0.1410
Co1 Co 0.0000 0.0000 0.5000
Co2 Co 0.0024 0.5012 0.0818
Ge1 Ge 0.0000 0.0000 0.3329
```

=====

Diffraction record for HoCoNi2Ge2. The X-ray diffraction stick pattern is simulated, not measured: it uses a cell relaxed with PBE and a wavelength of 1.5418 Å.

Most intense lines, 15 to 90 degrees two-theta, by angle:
2theta  Rel. int.
20.10  106
26.70  104
28.58  219
33.65  451
35.20  90
40.86  1000
55.00  101
59.16  484
62.17  64
69.81  113
74.40  119
88.56  258

Atomic structure:
```
data_HoCoNi2Ge2
_chemical_formula_sum 'Ho1 Co1 Ni2 Ge2'
_symmetry_space_group_name_H-M 'P 4/m m m'
_symmetry_Int_Tables_number 123
_symmetry_space_group_name_Hall '-P 4 2'
_cell_length_a 4.4173
_cell_length_b 4.4173
_cell_length_c 5.0996
_cell_angle_alpha 90.00
_cell_angle_beta 90.00
_cell_angle_gamma 90.00
loop_
_atom_site_label
_atom_site_type_symbol
_atom_site_fract_x
_atom_site_fract_y
_atom_site_fract_z
Ho1 Ho 0.0000 0.0000 0.0000
Co1 Co 0.0000 0.0000 0.5000
Ni1 Ni 0.5000 0.5000 0.2413
Ge1 Ge 0.0000 0.5000 0.5000
```

=====

Diffraction record for Yb7InCo4Ge12. The X-ray diffraction stick pattern is simulated, not measured: it uses a cell relaxed with PBE and a wavelength of 1.5418 Å.

Most intense lines, 15 to 90 degrees two-theta, by angle:
2theta  Rel. int.
24.24  88
33.40  196
34.54  1000
37.76  269
38.84  237
42.50  248
43.64  99
47.20  105
56.05  136
58.93  139
67.57  96
72.65  109

Atomic structure:
```
data_Yb7InCo4Ge12
_chemical_formula_sum 'Yb7 In1 Co4 Ge12'
_symmetry_space_group_name_H-M 'P 4/m'
_symmetry_Int_Tables_number 83
_symmetry_space_group_name_Hall '-P 4'
_cell_length_a 10.3695
_cell_length_b 10.3695
_cell_length_c 4.2537
_cell_angle_alpha 90.00
_cell_angle_beta 90.00
_cell_angle_gamma 90.00
loop_
_atom_site_label
_atom_site_type_symbol
_atom_site_fract_x
_atom_site_fract_y
_atom_site_fract_z
Yb1 Yb 0.0000 0.0000 0.0000
Yb2 Yb 0.0000 0.5000 0.5000
Yb3 Yb 0.3239 0.3279 0.5000
In1 In 0.5000 0.5000 0.0000
Co1 Co 0.1151 0.7221 0.0000
Ge1 Ge 0.0655 0.8061 0.5000
Ge2 Ge 0.1143 0.2844 0.0000
Ge3 Ge 0.2106 0.5152 0.0000
```

=====

Diffraction record for CoGe7Ir4. The X-ray diffraction stick pattern is simulated, not measured: it uses a cell relaxed with PBE and a wavelength of 1.5418 Å.

Most intense lines, 15 to 90 degrees two-theta, by angle:
2theta  Rel. int.
24.59  951
26.82  796
37.02  462
39.02  565
39.16  1000
42.87  655
43.08  630
43.79  617
46.44  369
48.20  529
50.34  456
62.02  339

Atomic structure:
```
data_CoGe7Ir4
_chemical_formula_sum 'Co2 Ge14 Ir8'
_symmetry_space_group_name_H-M 'C 1 m 1'
_symmetry_Int_Tables_number 8
_symmetry_space_group_name_Hall 'C -2y'
_cell_length_a 12.7226
_cell_length_b 2.9929
_cell_length_c 10.5724
_cell_angle_alpha 90.00
_cell_angle_beta 102.10
_cell_angle_gamma 90.00
loop_
_atom_site_label
_atom_site_type_symbol
_atom_site_fract_x
_atom_site_fract_y
_atom_site_fract_z
Co1 Co 0.0000 0.0000 0.0000
Ge1 Ge 0.0477 0.0000 0.6050
Ge2 Ge 0.1029 0.5000 0.9047
Ge3 Ge 0.1556 0.0000 0.1703
Ge4 Ge 0.2475 0.5000 0.4241
Ge5 Ge 0.3485 0.0000 0.0101
Ge6 Ge 0.3757 0.5000 0.7914
Ge7 Ge 0.4287 0.0000 0.3784
Ir1 Ir 0.0834 0.0000 0.3731
Ir2 Ir 0.2082 0.0000 0.7898
Ir3 Ir 0.3238 0.5000 0.2015
Ir4 Ir 0.3731 0.0000 0.5959
```

=====

Diffraction record for Pu2CoGe4Ir3. The X-ray diffraction stick pattern is simulated, not measured: it uses a cell relaxed with PBE and a wavelength of 1.5418 Å.

Most intense lines, 15 to 90 degrees two-theta, by angle:
2theta  Rel. int.
27.55  158
30.11  317
33.99  866
35.00  1000
43.10  673
49.82  375
55.99  427
62.59  224
63.17  130
67.95  300
73.77  234
88.87  124

Atomic structure:
```
data_Pu2CoGe4Ir3
_chemical_formula_sum 'Pu2 Co1 Ge4 Ir3'
_symmetry_space_group_name_H-M 'P -4 m 2'
_symmetry_Int_Tables_number 115
_symmetry_space_group_name_Hall 'P -4 -2'
_cell_length_a 4.1977
_cell_length_b 4.1977
_cell_length_c 10.1700
_cell_angle_alpha 90.00
_cell_angle_beta 90.00
_cell_angle_gamma 90.00
loop_
_atom_site_label
_atom_site_type_symbol
_atom_site_fract_x
_atom_site_fract_y
_atom_site_fract_z
Pu1 Pu 0.0000 0.5000 0.2485
Co1 Co 0.5000 0.5000 0.0000
Ge1 Ge 0.0000 0.0000 0.5000
Ge2 Ge 0.0000 0.5000 0.8740
Ge3 Ge 0.5000 0.5000 0.5000
Ir1 Ir 0.0000 0.0000 0.0000
Ir2 Ir 0.0000 0.5000 0.6321
```

=====

Diffraction record for TmCoGe2Ir. The X-ray diffraction stick pattern is simulated, not measured: it uses a cell relaxed with PBE and a wavelength of 1.5418 Å.

Most intense lines, 15 to 90 degrees two-theta, by angle:
2theta  Rel. int.
23.68  306
34.37  550
34.99  108
36.00  1000
44.90  483
47.67  134
49.86  215
57.74  251
63.41  170
65.37  156
69.32  161
76.95  219

Atomic structure:
```
data_TmCoGe2Ir
_chemical_formula_sum 'Tm2 Co2 Ge4 Ir2'
_symmetry_space_group_name_H-M 'I -4 m 2'
_symmetry_Int_Tables_number 119
_symmetry_space_group_name_Hall 'I -4 -2'
_cell_length_a 4.0378
_cell_length_b 4.0378
_cell_length_c 10.2580
_cell_angle_alpha 90.00
_cell_angle_beta 90.00
_cell_angle_gamma 90.00
loop_
_atom_site_label
_atom_site_type_symbol
_atom_site_fract_x
_atom_site_fract_y
_atom_site_fract_z
Tm1 Tm 0.0000 0.0000 0.0000
Co1 Co 0.0000 0.5000 0.2500
Ge1 Ge 0.0000 0.0000 0.3783
Ir1 Ir 0.0000 0.5000 0.7500
```

=====

Diffraction record for La3Co2Ge3. The X-ray diffraction stick pattern is simulated, not measured: it uses a cell relaxed with PBE and a wavelength of 1.5418 Å.

Most intense lines, 15 to 90 degrees two-theta, by angle:
2theta  Rel. int.
31.85  732
32.45  448
33.42  1000
36.28  331
36.49  294
36.84  571
40.34  298
43.67  437
54.05  276
54.38  219
60.85  265
71.91  256

Atomic structure:
```
data_La3Co2Ge3
_chemical_formula_sum 'La12 Co8 Ge12'
_symmetry_space_group_name_H-M 'C m c m'
_symmetry_Int_Tables_number 63
_symmetry_space_group_name_Hall '-C 2c 2'
_cell_length_a 4.1456
_cell_length_b 11.4571
_cell_length_c 14.7728
_cell_angle_alpha 90.00
_cell_angle_beta 90.00
_cell_angle_gamma 90.00
loop_
_atom_site_label
_atom_site_type_symbol
_atom_site_fract_x
_atom_site_fract_y
_atom_site_fract_z
La1 La 0.0000 0.0712 0.1033
La2 La 0.0000 0.3497 0.2500
Co1 Co 0.0000 0.2251 0.6058
Ge1 Ge 0.0000 0.3399 0.0399
Ge2 Ge 0.0000 0.3485 0.7500
```

=====

Diffraction record for La2Co12Ge7. The X-ray diffraction stick pattern is simulated, not measured: it uses a cell relaxed with PBE and a wavelength of 1.5418 Å.

Most intense lines, 15 to 90 degrees two-theta, by angle:
2theta  Rel. int.
32.03  161
32.91  160
37.41  1000
39.80  119
40.66  98
44.37  111
46.58  262
47.45  280
51.27  200
54.52  206
72.43  138
81.56  95

Atomic structure:
```
data_La2Co12Ge7
_chemical_formula_sum 'La2 Co12 Ge7'
_symmetry_space_group_name_H-M 'P -6'
_symmetry_Int_Tables_number 174
_symmetry_space_group_name_Hall 'P -6'
_cell_length_a 9.4290
_cell_length_b 9.4290
_cell_length_c 3.8322
_cell_angle_alpha 90.00
_cell_angle_beta 90.00
_cell_angle_gamma 120.00
loop_
_atom_site_label
_atom_site_type_symbol
_atom_site_fract_x
_atom_site_fract_y
_atom_site_fract_z
La1 La 0.0000 0.0000 0.0000
La2 La 0.3333 0.6667 0.5000
Co1 Co 0.0398 0.2800 0.5000
Co2 Co 0.1083 0.7210 0.0000
Co3 Co 0.3889 0.1887 0.0000
Co4 Co 0.5628 0.4361 0.5000
Ge1 Ge 0.0562 0.4438 0.0000
Ge2 Ge 0.2734 0.2373 0.5000
Ge3 Ge 0.6667 0.3333 0.0000
```

=====

Diffraction record for La12Co6Ge. The X-ray diffraction stick pattern is simulated, not measured: it uses a cell relaxed with PBE and a wavelength of 1.5418 Å.

Most intense lines, 15 to 90 degrees two-theta, by angle:
2theta  Rel. int.
28.01  434
30.75  345
33.28  1000
35.65  122
45.94  230
53.01  337
54.67  147
56.30  327
65.53  158
79.64  119
81.00  160
82.36  166

Atomic structure:
```
data_La12Co6Ge
_chemical_formula_sum 'La24 Co12 Ge2'
_symmetry_space_group_name_H-M 'I m -3'
_symmetry_Int_Tables_number 204
_symmetry_space_group_name_Hall '-I 2 2 3'
_cell_length_a 10.0725
_cell_length_b 10.0725
_cell_length_c 10.0725
_cell_angle_alpha 90.00
_cell_angle_beta 90.00
_cell_angle_gamma 90.00
loop_
_atom_site_label
_atom_site_type_symbol
_atom_site_fract_x
_atom_site_fract_y
_atom_site_fract_z
La1 La 0.0000 0.1871 0.3089
Co1 Co 0.0000 0.3788 0.5000
Ge1 Ge 0.0000 0.0000 0.0000
```

=====

Diffraction record for La3CoGe. The X-ray diffraction stick pattern is simulated, not measured: it uses a cell relaxed with PBE and a wavelength of 1.5418 Å.

Most intense lines, 15 to 90 degrees two-theta, by angle:
2theta  Rel. int.
26.30  336
26.60  289
28.67  414
29.27  379
30.38  349
31.14  1000
31.78  577
35.14  889
37.12  273
51.51  246
52.19  244
56.68  334

Atomic structure:
```
data_La3CoGe
_chemical_formula_sum 'La6 Co2 Ge2'
_symmetry_space_group_name_H-M 'P -1'
_symmetry_Int_Tables_number 2
_symmetry_space_group_name_Hall '-P 1'
_cell_length_a 5.6648
_cell_length_b 7.0107
_cell_length_c 7.0935
_cell_angle_alpha 89.90
_cell_angle_beta 72.85
_cell_angle_gamma 89.98
loop_
_atom_site_label
_atom_site_type_symbol
_atom_site_fract_x
_atom_site_fract_y
_atom_site_fract_z
La1 La 0.1275 0.2501 0.3694
La2 La 0.3199 0.0196 0.7958
La3 La 0.3198 0.4818 0.7956
Co1 Co 0.3426 0.7506 0.5003
Ge1 Ge 0.1849 0.7497 0.1952
```